Simulated powder X-ray diffraction pattern of CoOs2O4 for Cu Ka, from a DFT-relaxed cell (GGA+U, OQMD).

Main lines, by angle (5° ≤ 2θ ≤ 70°):
two_theta, I (rel.)
17.90, 68
34.65, 100
36.25, 53
42.10, 39
46.09, 16
55.63, 36
61.06, 44
64.18, 14

Crystal structure
```
14
Lattice="0.0000 4.2925 4.2925 4.2925 0.0000 4.2925 4.2925 4.2925 0.0000" Properties=species:S:1:pos:R:3 pbc="T T T"
Co 1.0731 1.0731 1.0731
Co 7.5119 7.5119 7.5119
Os 4.2925 2.1463 2.1463
Os 2.1463 4.2925 2.1463
Os 2.1463 2.1463 4.2925
Os 4.2925 4.2925 4.2925
O 2.2018 2.2018 2.2018
O 4.2370 4.2370 2.2018
O 4.2370 2.2018 4.2370
O 6.3833 4.3480 4.3480
O 2.2018 4.2370 4.2370
O 4.3480 6.3833 4.3480
O 4.3480 4.3480 6.3833
O 6.3833 6.3833 6.3833
```